For Na5B7C3, a DFT-relaxed cell (GGA-PBE, Alexandria) gives the simulated powder diffraction line list in this record (λ = 1.5418 Å (Cu Kα)).
Intensities are scaled so that the largest is 100.

Largest 8 diffraction maxima, by angle, 2θ from 10° to 80°:
- 2θ 34.9, intensity 8
- 2θ 36.3, intensity 12
- 2θ 41.0, intensity 36
- 2θ 42.1, intensity 100
- 2θ 56.8, intensity 7
- 2θ 63.5, intensity 12
- 2θ 77.0, intensity 11
- 2θ 79.2, intensity 12

Cell and atoms:
Cell lengths 9.068, 9.068, 13.386 Å; angles 112.94, 112.94, 17.95 degrees
Element x y z (fractional)
1 Na 0.000 0.000 0.000
2 Na 0.000 0.000 0.495
3 Na 0.200 0.200 0.396
4 Na 0.203 0.203 0.899
5 Na 0.400 0.400 0.798
6 Na 0.401 0.401 0.296
7 Na 0.600 0.600 0.199
8 Na 0.602 0.602 0.697
9 Na 0.800 0.800 0.597
10 Na 0.802 0.802 0.098
11 B 0.035 0.035 0.817
12 B 0.037 0.037 0.319
13 B 0.171 0.171 0.088
14 B 0.171 0.171 0.586
15 B 0.240 0.240 0.726
16 B 0.359 0.359 0.464
17 B 0.427 0.427 0.101
18 B 0.427 0.427 0.600
19 B 0.579 0.579 0.904
20 B 0.631 0.631 0.507
21 B 0.765 0.765 0.275
22 B 0.834 0.834 0.915
23 B 0.968 0.968 0.182
24 B 0.970 0.970 0.687
25 C 0.233 0.233 0.213
26 C 0.365 0.365 0.977
27 C 0.569 0.569 0.382
28 C 0.640 0.640 0.024
29 C 0.770 0.770 0.787
30 C 0.828 0.828 0.401